Structure and calculated powder XRD pattern of Pm2ZrSe5 (a crystal structure in Alexandria, relaxed with PBE; CuKα).
Lines closer than 0.1° are merged.

Top 8 peaks for 5 to 70 degrees two-theta, in order of falling intensity:
d (Å)	Position (°2θ)	I/Imax
2.567	34.96	100
2.723	32.89	86
2.754	32.51	63
2.071	43.71	46
2.036	44.49	46
2.464	36.46	43
2.522	35.60	43
2.851	31.38	40

Structural model:
Lattice parameters (Å, degrees): 12.2662 8.2836 7.7326 90.00 90.00 90.00
Space group Pnma (No. 62)
Symmetry-distinct sites (fractional):
Pm (0.1784, 0.0035, 0.0282) (multiplicity 8)
Zr (0.0072, 0.7500, 0.5794) (multiplicity 4)
Se (0.0040, 0.7500, 0.9474) (multiplicity 4)
Se (0.0901, 0.0380, 0.6631) (multiplicity 8)
Se (0.1814, 0.7500, 0.3355) (multiplicity 4)
Se (0.2074, 0.2500, 0.3151) (multiplicity 4)

Structure and calculated powder XRD pattern of Pm4Si (a crystal structure in Alexandria, relaxed with PBE; CuKα).
Lines closer than 0.1° are merged.

Top 8 peaks for 5 to 70 degrees two-theta, in order of falling intensity:
d (Å)	Position (°2θ)	I/Imax
2.815	31.79	100
3.344	26.66	60
2.982	29.97	46
2.522	35.59	34
1.811	50.40	27
2.385	37.71	23
3.404	26.18	21
1.637	56.17	21

Structural model:
Lattice parameters (Å, degrees): 6.9732 13.3769 6.8071 90.00 90.00 90.00
Space group Ccce (No. 68, origin choice 2)
Symmetry-distinct sites (fractional):
Pm (0.1682, 0.1278, 0.0734) (multiplicity 16)
Si (0.0000, 0.2500, 0.7500) (multiplicity 4)

Structure and calculated powder XRD pattern of Pm5Si2 (a crystal structure in Alexandria, relaxed with PBE; CuKα).
Lines closer than 0.1° are merged.

Top 8 peaks for 5 to 70 degrees two-theta, in order of falling intensity:
d (Å)	Position (°2θ)	I/Imax
2.997	29.81	100
2.831	31.61	42
2.463	36.47	28
3.384	26.34	26
2.444	36.77	24
1.910	47.60	21
2.623	34.19	21
2.753	32.52	20

Structural model:
Lattice parameters (Å, degrees): 15.8830 6.4695 7.9967 90.00 97.70 90.00
Space group C2/c (No. 15)
Symmetry-distinct sites (fractional):
Pm (0.0000, 0.1100, 0.2500) (multiplicity 4)
Pm (0.0923, 0.3761, 0.9247) (multiplicity 8)
Pm (0.2221, 0.0948, 0.3118) (multiplicity 8)
Si (0.1051, 0.1942, 0.5828) (multiplicity 8)

Structure and calculated powder XRD pattern of Pm8Si3 (a crystal structure in Alexandria, relaxed with PBE; CuKα).
Lines closer than 0.1° are merged.

Top 8 peaks for 5 to 70 degrees two-theta, in order of falling intensity:
d (Å)	Position (°2θ)	I/Imax
3.127	28.54	100
3.147	28.36	65
2.859	31.29	51
1.868	48.74	40
2.883	31.02	28
3.507	25.39	20
1.876	48.53	17
1.886	48.24	15

Structural model:
Lattice parameters (Å, degrees): 9.8819 9.8819 12.2466 90.00 90.00 120.00
Space group R-3 (No. 148, hexagonal axes)
Symmetry-distinct sites (fractional):
Pm (0.0000, 0.0000, 0.1548) (multiplicity 6)
Pm (0.0455, 0.2587, 0.6124) (multiplicity 18)
Si (0.0000, 0.5000, 0.5000) (multiplicity 9)

Structure and calculated powder XRD pattern of Pm12SmSi7 (a crystal structure in Alexandria, relaxed with PBE; CuKα).
Lines closer than 0.1° are merged.

Top 8 peaks for 5 to 70 degrees two-theta, in order of falling intensity:
d (Å)	Position (°2θ)	I/Imax
3.324	26.82	100
2.763	32.41	86
2.869	31.18	35
3.039	29.39	31
2.501	35.91	30
1.705	53.78	30
1.814	50.29	24
2.392	37.61	20

Structural model:
Lattice parameters (Å, degrees): 15.0032 15.0032 8.6058 90.00 90.00 120.00
Space group R-3m (No. 166, hexagonal axes)
Symmetry-distinct sites (fractional):
Pm (0.0000, 0.2671, 0.0000) (multiplicity 18)
Pm (0.1008, 0.2016, 0.3690) (multiplicity 18)
Sm (0.0000, 0.0000, 0.0000) (multiplicity 3)
Si (0.0000, 0.0000, 0.5000) (multiplicity 3)
Si (0.1105, 0.2210, 0.7572) (multiplicity 18)

Structure and calculated powder XRD pattern of Pm2SmSi4 (a crystal structure in Alexandria, relaxed with PBE; CuKα).
Lines closer than 0.1° are merged.

Top 8 peaks for 5 to 70 degrees two-theta, in order of falling intensity:
d (Å)	Position (°2θ)	I/Imax
2.779	32.21	100
3.279	27.19	63
2.766	32.36	58
4.252	20.89	30
2.974	30.05	29
2.189	41.24	25
2.446	36.74	24
1.821	50.10	24

Structural model:
Lattice parameters (Å, degrees): 3.9308 4.3786 17.8450 90.00 90.00 90.00
Space group Immm (No. 71)
Symmetry-distinct sites (fractional):
Pm (0.0000, 0.0000, 0.1820) (multiplicity 4)
Sm (0.0000, 0.5000, 0.5000) (multiplicity 2)
Si (0.0000, 0.0000, 0.3536) (multiplicity 4)
Si (0.0000, 0.5000, 0.0657) (multiplicity 4)

Structure and calculated powder XRD pattern of PmSm5Si4 (a crystal structure in Alexandria, relaxed with PBE; CuKα).
Lines closer than 0.1° are merged.

Top 8 peaks for 5 to 70 degrees two-theta, in order of falling intensity:
d (Å)	Position (°2θ)	I/Imax
2.498	35.96	100
3.604	24.70	79
3.464	25.71	36
2.564	34.99	27
2.533	35.43	26
1.802	50.65	19
1.456	63.96	19
2.061	43.93	18

Structural model:
Lattice parameters (Å, degrees): 15.3854 5.0666 6.9289 90.00 90.12 90.00
Space group C2/m (No. 12)
Symmetry-distinct sites (fractional):
Pm (0.0000, 0.0000, 0.0000) (multiplicity 2)
Sm (0.0000, 0.0000, 0.5000) (multiplicity 2)
Sm (0.1651, 0.5000, 0.5081) (multiplicity 4)
Sm (0.1648, 0.5000, 0.9937) (multiplicity 4)
Si (0.0090, 0.5000, 0.2516) (multiplicity 4)
Si (0.1778, 0.0000, 0.7499) (multiplicity 4)

Structure and calculated powder XRD pattern of Pm2SmZn2Si2 (a crystal structure in Alexandria, relaxed with PBE; CuKα).
Lines closer than 0.1° are merged.

Top 8 peaks for 5 to 70 degrees two-theta, in order of falling intensity:
d (Å)	Position (°2θ)	I/Imax
2.745	32.62	100
2.057	44.02	60
2.886	30.99	54
3.544	25.13	38
2.476	36.28	30
3.292	27.08	26
1.532	60.42	22
1.646	55.85	21

Structural model:
Lattice parameters (Å, degrees): 4.1144 4.1144 34.4422 90.00 90.00 120.00
Space group R-3m (No. 166, hexagonal axes)
Symmetry-distinct sites (fractional):
Pm (0.0000, 0.0000, 0.1211) (multiplicity 6)
Sm (0.0000, 0.0000, 0.0000) (multiplicity 3)
Zn (0.0000, 0.0000, 0.3940) (multiplicity 6)
Si (0.0000, 0.0000, 0.2721) (multiplicity 6)

Structure and calculated powder XRD pattern of Pm7SiSn2 (a crystal structure in Alexandria, relaxed with PBE; CuKα).
Lines closer than 0.1° are merged.

Top 8 peaks for 5 to 70 degrees two-theta, in order of falling intensity:
d (Å)	Position (°2θ)	I/Imax
2.658	33.71	100
2.614	34.30	91
3.728	23.87	39
1.526	60.68	35
1.864	48.86	34
1.535	60.30	19
3.117	28.64	15
4.605	19.28	10

Structural model:
Lattice parameters (Å, degrees): 5.3169 5.3169 12.7037 90.00 90.00 120.00
Space group P3m1 (No. 156)
Symmetry-distinct sites (fractional):
Pm (0.0000, 0.0000, 0.0000) (multiplicity 1)
Pm (0.0000, 0.0000, 0.2474) (multiplicity 1)
Pm (0.0000, 0.0000, 0.7363) (multiplicity 1)
Pm (0.3333, 0.6667, 0.3911) (multiplicity 1)
Pm (0.3333, 0.6667, 0.8943) (multiplicity 1)
Pm (0.6667, 0.3333, 0.1262) (multiplicity 1)
Pm (0.6667, 0.3333, 0.5735) (multiplicity 1)
Si (0.3333, 0.6667, 0.1434) (multiplicity 1)
Sn (0.0000, 0.0000, 0.4919) (multiplicity 1)
Sn (0.6667, 0.3333, 0.8432) (multiplicity 1)

Structure and calculated powder XRD pattern of Pm12Si6Sn (a crystal structure in Alexandria, relaxed with PBE; CuKα).
Lines closer than 0.1° are merged.

Top 8 peaks for 5 to 70 degrees two-theta, in order of falling intensity:
d (Å)	Position (°2θ)	I/Imax
2.726	32.86	100
3.225	27.66	67
2.944	30.36	60
1.749	52.30	48
1.655	55.54	45
1.442	64.61	23
2.550	35.20	22
2.000	45.34	16

Structural model:
Lattice parameters (Å, degrees): 10.1997 10.1997 10.1997 90.00 90.00 90.00
Space group Im-3 (No. 204)
Symmetry-distinct sites (fractional):
Pm (0.0000, 0.2969, 0.1884) (multiplicity 24)
Si (0.0000, 0.1145, 0.5000) (multiplicity 12)
Sn (0.0000, 0.0000, 0.0000) (multiplicity 2)

Structure and calculated powder XRD pattern of Pm5Si4Sn2 (a crystal structure in Alexandria, relaxed with PBE; CuKα).
Lines closer than 0.1° are merged.

Top 8 peaks for 5 to 70 degrees two-theta, in order of falling intensity:
d (Å)	Position (°2θ)	I/Imax
3.080	28.99	100
2.634	34.03	86
2.356	38.19	33
2.396	37.53	32
2.742	32.66	31
2.122	42.62	27
3.593	24.78	22
3.437	25.92	21

Structural model:
Lattice parameters (Å, degrees): 9.4261 8.4860 7.5542 90.00 107.94 90.00
Space group C2/m (No. 12)
Symmetry-distinct sites (fractional):
Pm (0.0000, 0.0000, 0.0000) (multiplicity 2)
Pm (0.1792, 0.2545, 0.7127) (multiplicity 8)
Si (0.0823, 0.0000, 0.4037) (multiplicity 4)
Si (0.1932, 0.5000, 0.0053) (multiplicity 4)
Sn (0.0812, 0.5000, 0.3105) (multiplicity 4)

Structure and calculated powder XRD pattern of Pm8Si2Sn3 (a crystal structure in Alexandria, relaxed with PBE; CuKα).
Lines closer than 0.1° are merged.

Top 8 peaks for 5 to 70 degrees two-theta, in order of falling intensity:
d (Å)	Position (°2θ)	I/Imax
2.609	34.37	100
3.619	24.60	27
2.580	34.78	25
2.538	35.36	24
1.495	62.08	18
1.479	62.84	18
1.809	50.44	18
3.766	23.62	14

Structural model:
Lattice parameters (Å, degrees): 10.3184 15.0648 5.0768 90.00 90.00 90.00
Space group Cmmm (No. 65)
Symmetry-distinct sites (fractional):
Pm (0.0000, 0.1277, 0.0000) (multiplicity 4)
Pm (0.0000, 0.3627, 0.0000) (multiplicity 4)
Pm (0.2480, 0.3666, 0.5000) (multiplicity 8)
Si (0.0000, 0.2390, 0.5000) (multiplicity 4)
Sn (0.0000, 0.5000, 0.5000) (multiplicity 2)
Sn (0.2428, 0.0000, 0.0000) (multiplicity 4)

Structure and calculated powder XRD pattern of SrPmTlSi (a crystal structure in Alexandria, relaxed with PBE; CuKα).
Lines closer than 0.1° are merged.

Top 8 peaks for 5 to 70 degrees two-theta, in order of falling intensity:
d (Å)	Position (°2θ)	I/Imax
2.716	32.98	100
1.568	58.89	38
4.436	20.02	34
2.316	38.88	20
1.921	47.33	18
1.358	69.17	12
1.763	51.87	9
1.479	62.85	7

Structural model:
Lattice parameters (Å, degrees): 7.6830 7.6830 7.6830 90.00 90.00 90.00
Space group F-43m (No. 216)
Symmetry-distinct sites (fractional):
Sr (0.0000, 0.0000, 0.0000) (multiplicity 4)
Pm (0.0000, 0.0000, 0.5000) (multiplicity 4)
Tl (0.2500, 0.2500, 0.7500) (multiplicity 4)
Si (0.2500, 0.2500, 0.2500) (multiplicity 4)